Theoretical X-ray diffraction stick pattern
Compound: Ba2V2FeO9
Radiation: Cu Kα
Structure: the GGA+U geometry in Alexandria
Intensities are scaled so that the largest is 100.

Peak list (10 most intense, 2θ = 10–80°, sorted by position)
2θ 23.61, I 41; 2θ 25.49, I 100; 2θ 27.87, I 42; 2θ 28.25, I 46; 2θ 30.23, I 33; 2θ 31.38, I 50; 2θ 32.38, I 21; 2θ 38.05, I 27; 2θ 41.85, I 30; 2θ 44.50, I 23

Structure:
Cell lengths 8.676, 5.913, 9.493 Å; angles 90.00, 114.69, 90.00 degrees
Positions (direct):
Ba (0.197, 0.250, 0.235)
Ba (0.212, 0.750, 0.594)
Ba (0.788, 0.250, 0.406)
Ba (0.803, 0.750, 0.765)
V (0.088, 0.250, 0.803)
V (0.499, 0.250, 0.690)
V (0.501, 0.750, 0.310)
V (0.912, 0.750, 0.197)
Fe (0.500, 0.000, 0.000)
Fe (0.500, 0.500, 0.000)
O (0.003, 0.750, 0.070)
O (0.015, 0.017, 0.684)
O (0.015, 0.483, 0.684)
O (0.295, 0.250, 0.552)
O (0.320, 0.250, 0.908)
O (0.356, 0.750, 0.926)
O (0.364, 0.750, 0.396)
O (0.464, 0.002, 0.195)
O (0.464, 0.498, 0.195)
O (0.536, 0.502, 0.805)
O (0.536, 0.998, 0.805)
O (0.636, 0.250, 0.604)
O (0.644, 0.250, 0.074)
O (0.680, 0.750, 0.092)
O (0.705, 0.750, 0.448)
O (0.985, 0.517, 0.316)
O (0.985, 0.983, 0.316)
O (0.997, 0.250, 0.930)